[1]
For Cs6AsOF, a DFT-relaxed cell (GGA-PBE, Alexandria) gives the simulated powder X-ray diffraction pattern in this record (Cu Ka).
No peak broadening, texture or thermal motion is included.

Crystal structure
Cell lengths 7.833, 7.833, 15.598 Å; angles 90.00, 90.00, 120.00 degrees
Atoms (fractional coordinates):
Cs1 0.011 0.387 0.139
Cs2 0.011 0.624 0.361
Cs3 0.376 0.387 0.361
Cs4 0.376 0.989 0.139
Cs5 0.387 0.011 0.639
Cs6 0.387 0.376 0.861
Cs7 0.613 0.624 0.139
Cs8 0.613 0.989 0.361
Cs9 0.624 0.011 0.861
Cs10 0.624 0.613 0.639
Cs11 0.989 0.376 0.639
Cs12 0.989 0.613 0.861
As1 0.000 0.000 0.000
As2 0.000 0.000 0.500
O1 0.333 0.667 0.250
O2 0.667 0.333 0.750
F1 0.333 0.667 0.750
F2 0.667 0.333 0.250

The 10 most intense peaks (5 to 70 degrees two-theta), low angle first:
2θ (°)	Rel. int.	h k l
17.3	10	1 0 2
22.8	33	0 0 4
25.4	100	2 -1 2
26.3	23	2 0 0
32.4	36	1 1 4
36.9	18	2 1 2
39.9	19	3 0 0
41.7	21	2 -1 6
47.9	10	2 2 2
49.9	16	4 -1 2


[2]
For Cs2As2OF10, a DFT-relaxed cell (GGA-PBE, Alexandria) gives the simulated powder X-ray diffraction pattern in this record (Cu Ka).
No peak broadening, texture or thermal motion is included.

Crystal structure
Cell lengths 5.736, 10.895, 9.286 Å; angles 90.00, 104.57, 90.00 degrees
Atoms (fractional coordinates):
Cs1 0.174 0.014 0.253
Cs2 0.174 0.486 0.253
Cs3 0.826 0.514 0.747
Cs4 0.826 0.986 0.747
As1 0.282 0.250 0.615
As2 0.489 0.250 0.982
As3 0.511 0.750 0.018
As4 0.718 0.750 0.385
O1 0.492 0.750 0.210
O2 0.508 0.250 0.790
F1 0.027 0.250 0.691
F2 0.078 0.250 0.433
F3 0.264 0.133 0.954
F4 0.264 0.367 0.954
F5 0.274 0.084 0.608
F6 0.274 0.416 0.608
F7 0.281 0.635 0.977
F8 0.281 0.865 0.977
F9 0.479 0.750 0.475
F10 0.487 0.250 0.174
F11 0.513 0.750 0.826
F12 0.521 0.250 0.525
F13 0.719 0.135 0.023
F14 0.719 0.365 0.023
F15 0.726 0.584 0.392
F16 0.726 0.916 0.392
F17 0.736 0.633 0.046
F18 0.736 0.867 0.046
F19 0.922 0.750 0.567
F20 0.973 0.750 0.309

The 10 most intense peaks (5 to 70 degrees two-theta), low angle first:
2θ (°)	Rel. int.	h k l
17.9	27	1 1 0
20.8	29	1 0 1
22.9	45	1 2 0
23.3	100	1 2 -1
25.7	72	0 2 2
26.5	26	1 2 1
28.5	18	1 0 2
30.1	33	1 0 -3
32.9	27	0 4 0
39.2	19	1 4 1


[3]
For CsAsPbF6, a DFT-relaxed cell (GGA-PBE, Alexandria) gives the simulated powder X-ray diffraction pattern in this record (Cu Ka).
No peak broadening, texture or thermal motion is included.

Crystal structure
Cell lengths 6.675, 6.675, 4.885 Å; angles 90.00, 90.00, 120.00 degrees
Atoms (fractional coordinates):
Cs1 0.000 0.000 0.000
As1 0.667 0.333 0.394
Pb1 0.333 0.667 0.507
F1 0.047 0.617 0.225
F2 0.383 0.429 0.225
F3 0.419 0.141 0.614
F4 0.571 0.953 0.225
F5 0.722 0.581 0.614
F6 0.859 0.278 0.614

The 10 most intense peaks (5 to 70 degrees two-theta), low angle first:
2θ (°)	Rel. int.	h k l
15.3	15	1 0 0
18.2	13	0 0 1
23.8	100	1 0 1
26.7	65	1 1 0
32.5	12	2 -1 1
36.1	43	0 2 1
45.5	37	3 -1 1
46.0	30	2 -1 2
47.2	18	3 0 0
60.8	16	1 3 1